Diffraction record for Ac2TlRe2N6. The powder XRD pattern is theoretical, not measured: it uses a PBE-relaxed structure and a wavelength of 1.5418 Å.
Neutral-atom scattering factors, no anomalous dispersion.

Top 8 peaks for 10° ≤ 2θ ≤ 90°, in order of rising 2θ:
(hkl)	2θ (°)	d_spacing	intensity
1 0 -1	16.00	5.538	34
1 1 -1	24.05	3.700	72
1 0 -2	25.53	3.490	100
1 -2 0	26.23	3.398	60
-2 1 1	28.21	3.164	68
1 0 1	28.97	3.082	84
2 1 -3	43.70	2.072	31
2 1 0	45.88	1.978	34

Atomic structure:
Cell lengths 6.358, 6.914, 7.063 Å; angles 97.90, 116.06, 112.06 degrees
Space group P-1 (No. 2)
Symmetry-distinct sites (fractional):
Ac 0.114 0.224 0.325 [2 per cell]
Tl 0.500 0.500 0.000 [1 per cell]
Re 0.286 0.823 0.331 [2 per cell]
N 0.026 0.779 0.392 [2 per cell]
N 0.237 0.928 0.107 [2 per cell]
N 0.378 0.598 0.332 [2 per cell]

Diffraction record for Ac4RuN2. The powder XRD pattern is theoretical, not measured: it uses a PBE-relaxed structure and a wavelength of 1.5418 Å.
Neutral-atom scattering factors, no anomalous dispersion.

Top 8 peaks for 10° ≤ 2θ ≤ 90°, in order of rising 2θ:
(hkl)	2θ (°)	d_spacing	intensity
0 0 2	27.32	3.264	30
1 2 1	29.19	3.060	100
3 1 0	36.70	2.449	16
3 1 2	46.35	1.959	20
1 2 3	49.47	1.843	24
4 1 1	50.57	1.805	24
4 1 3	65.66	1.422	11
6 0 2	79.94	1.200	12

Atomic structure:
Cell lengths 7.744, 7.744, 6.528 Å; angles 90.00, 90.00, 90.00 degrees
Space group I4/m (No. 87)
Symmetry-distinct sites (fractional):
Ac 0.166 0.672 0.000 [8 per cell]
Ru 0.000 0.000 0.500 [2 per cell]
N 0.000 0.500 0.250 [4 per cell]

Diffraction record for Ac6RuN. The powder XRD pattern is theoretical, not measured: it uses a PBE-relaxed structure and a wavelength of 1.5418 Å.
Neutral-atom scattering factors, no anomalous dispersion.

Top 8 peaks for 10° ≤ 2θ ≤ 90°, in order of rising 2θ:
(hkl)	2θ (°)	d_spacing	intensity
1 1 0	14.60	6.067	12
0 0 2	25.19	3.535	24
1 3 0	25.43	3.503	14
2 0 -1	28.44	3.139	100
1 3 -2	36.07	2.490	20
3 3 0	44.82	2.022	21
1 3 3	46.43	1.956	20
0 6 2	52.07	1.756	12

Atomic structure:
Cell lengths 7.001, 12.141, 7.069 Å; angles 90.00, 90.17, 90.00 degrees
Space group C2/m (No. 12)
Symmetry-distinct sites (fractional):
Ac 0.153 0.154 0.272 [8 per cell]
Ac 0.192 0.500 0.271 [4 per cell]
Ru 0.000 0.000 0.000 [2 per cell]
N 0.000 0.000 0.500 [2 per cell]

Diffraction record for AcRuN. The powder XRD pattern is theoretical, not measured: it uses a PBE-relaxed structure and a wavelength of 1.5418 Å.
Neutral-atom scattering factors, no anomalous dispersion.

Top 8 peaks for 10° ≤ 2θ ≤ 90°, in order of rising 2θ:
(hkl)	2θ (°)	d_spacing	intensity
1 2 0	25.78	3.455	100
1 0 1	27.27	3.270	96
2 0 1	33.99	2.637	73
3 0 0	34.83	2.576	55
2 1 1	35.98	2.496	97
3 1 0	36.78	2.443	57
2 2 1	41.46	2.178	70
1 3 1	44.79	2.023	41

Atomic structure:
Cell lengths 7.727, 7.727, 3.609 Å; angles 90.00, 90.00, 90.00 degrees
Space group P4_2/m (No. 84)
Symmetry-distinct sites (fractional):
Ac 0.064 0.700 0.000 [4 per cell]
Ru 0.358 0.387 0.000 [4 per cell]
N 0.206 0.418 0.500 [4 per cell]

Diffraction record for AcSnRu2N. The powder XRD pattern is theoretical, not measured: it uses a PBE-relaxed structure and a wavelength of 1.5418 Å.
Neutral-atom scattering factors, no anomalous dispersion.

Top 8 peaks for 10° ≤ 2θ ≤ 90°, in order of rising 2θ:
(hkl)	2θ (°)	d_spacing	intensity
1 3 0	30.68	2.914	31
0 4 1	32.31	2.771	51
1 1 2	32.50	2.755	100
1 3 1	32.95	2.718	88
0 2 3	38.88	2.316	21
2 0 0	42.15	2.144	35
2 4 1	54.09	1.696	24
1 7 0	58.32	1.582	20

Atomic structure:
Cell lengths 4.288, 11.916, 7.542 Å; angles 90.00, 90.00, 90.00 degrees
Space group Cmcm (No. 63)
Symmetry-distinct sites (fractional):
Ac 0.000 0.055 0.250 [4 per cell]
Sn 0.000 0.225 0.750 [4 per cell]
Ru 0.000 0.348 0.056 [8 per cell]
N 0.000 0.500 0.000 [4 per cell]

Diffraction record for SrAcRuN2. The powder XRD pattern is theoretical, not measured: it uses a PBE-relaxed structure and a wavelength of 1.5418 Å.
Neutral-atom scattering factors, no anomalous dispersion.

Top 8 peaks for 10° ≤ 2θ ≤ 90°, in order of rising 2θ:
(hkl)	2θ (°)	d_spacing	intensity
1 0 0	16.40	5.406	48
1 1 0	22.60	3.934	33
0 1 2	29.05	3.074	23
0 2 0	31.19	2.868	26
2 0 0	33.15	2.703	23
1 1 2	33.54	2.672	100
2 2 0	46.15	1.967	23
1 3 2	57.01	1.615	22

Atomic structure:
Cell lengths 5.406, 5.736, 7.282 Å; angles 90.00, 90.00, 90.00 degrees
Space group Pccm (No. 49)
Symmetry-distinct sites (fractional):
Sr 0.000 0.000 0.250 [2 per cell]
Ac 0.500 0.500 0.250 [2 per cell]
Ru 0.500 0.000 0.000 [2 per cell]
N 0.274 0.254 0.000 [4 per cell]

Diffraction record for AcTb2RuN4. The powder XRD pattern is theoretical, not measured: it uses a PBE-relaxed structure and a wavelength of 1.5418 Å.
Neutral-atom scattering factors, no anomalous dispersion.

Top 8 peaks for 10° ≤ 2θ ≤ 90°, in order of rising 2θ:
(hkl)	2θ (°)	d_spacing	intensity
0 2 3	27.19	3.280	36
0 4 0	29.83	2.995	39
0 0 4	30.44	2.936	100
1 3 1	34.76	2.581	23
1 3 2	37.27	2.412	52
0 4 4	43.12	2.098	18
1 5 2	48.45	1.879	17
1 3 5	52.03	1.758	15

Atomic structure:
Cell lengths 3.531, 11.980, 11.758 Å; angles 90.00, 90.00, 90.00 degrees
Space group Cmcm (No. 63)
Symmetry-distinct sites (fractional):
Ac 0.000 0.108 0.250 [4 per cell]
Tb 0.000 0.369 0.043 [8 per cell]
Ru 0.000 0.154 0.750 [4 per cell]
N 0.000 0.000 0.000 [4 per cell]
N 0.000 0.265 0.623 [8 per cell]
N 0.000 0.427 0.250 [4 per cell]

Diffraction record for AcTh2RuN4. The powder XRD pattern is theoretical, not measured: it uses a PBE-relaxed structure and a wavelength of 1.5418 Å.
Neutral-atom scattering factors, no anomalous dispersion.

Top 8 peaks for 10° ≤ 2θ ≤ 90°, in order of rising 2θ:
(hkl)	2θ (°)	d_spacing	intensity
0 2 3	26.47	3.368	82
0 4 0	28.73	3.107	66
0 0 4	29.72	3.006	30
1 1 2	29.99	2.979	100
1 3 1	33.98	2.638	32
1 3 2	36.43	2.466	76
1 1 5	46.10	1.969	26
2 2 3	58.55	1.577	28

Atomic structure:
Cell lengths 3.569, 12.429, 12.022 Å; angles 90.00, 90.00, 90.00 degrees
Space group Cmcm (No. 63)
Symmetry-distinct sites (fractional):
Ac 0.000 0.108 0.250 [4 per cell]
Th 0.000 0.368 0.054 [8 per cell]
Ru 0.000 0.153 0.750 [4 per cell]
N 0.000 0.000 0.000 [4 per cell]
N 0.000 0.269 0.619 [8 per cell]
N 0.000 0.448 0.250 [4 per cell]

Diffraction record for Ac3Zn2Ru2N3. The powder XRD pattern is theoretical, not measured: it uses a PBE-relaxed structure and a wavelength of 1.5418 Å.
Neutral-atom scattering factors, no anomalous dispersion.

Top 8 peaks for 10° ≤ 2θ ≤ 90°, in order of rising 2θ:
(hkl)	2θ (°)	d_spacing	intensity
1 0 3	24.68	3.607	15
1 0 5	28.94	3.086	100
1 1 0	31.25	2.862	42
1 1 4	34.77	2.580	15
2 0 0	44.78	2.024	29
1 1 10	49.78	1.832	24
2 1 5	54.20	1.692	37
3 2 5	89.73	1.093	14

Atomic structure:
Cell lengths 4.048, 4.048, 23.840 Å; angles 90.00, 90.00, 90.00 degrees
Space group I4/mmm (No. 139)
Symmetry-distinct sites (fractional):
Ac 0.000 0.000 0.000 [2 per cell]
Ac 0.000 0.000 0.385 [4 per cell]
Zn 0.000 0.500 0.250 [4 per cell]
Ru 0.000 0.000 0.186 [4 per cell]
N 0.000 0.000 0.106 [4 per cell]
N 0.000 0.000 0.500 [2 per cell]

Diffraction record for Ac4SN3. The powder XRD pattern is theoretical, not measured: it uses a PBE-relaxed structure and a wavelength of 1.5418 Å.
Neutral-atom scattering factors, no anomalous dispersion.

Top 8 peaks for 10° ≤ 2θ ≤ 90°, in order of rising 2θ:
(hkl)	2θ (°)	d_spacing	intensity
2 2 0	27.05	3.296	67
0 2 1	27.29	3.268	69
0 4 0	31.48	2.842	100
2 4 1	45.10	2.010	48
2 6 0	53.30	1.719	30
2 2 2	53.69	1.707	22
0 4 2	56.31	1.634	13
2 8 1	74.65	1.271	20

Atomic structure:
Cell lengths 8.088, 11.380, 3.992 Å; angles 90.00, 90.00, 90.00 degrees
Space group Cmmm (No. 65)
Symmetry-distinct sites (fractional):
Ac 0.000 0.240 0.000 [4 per cell]
Ac 0.228 0.000 0.500 [4 per cell]
S 0.000 0.500 0.000 [2 per cell]
N 0.000 0.000 0.000 [2 per cell]
N 0.250 0.250 0.500 [4 per cell]

Diffraction record for Ac4SbS2N. The powder XRD pattern is theoretical, not measured: it uses a PBE-relaxed structure and a wavelength of 1.5418 Å.
Neutral-atom scattering factors, no anomalous dispersion.

Top 8 peaks for 10° ≤ 2θ ≤ 90°, in order of rising 2θ:
(hkl)	2θ (°)	d_spacing	intensity
1 1 2	24.21	3.676	26
0 2 4	26.44	3.371	90
1 1 3	27.59	3.233	45
1 3 1	27.97	3.190	100
1 3 2	29.81	2.997	27
1 1 5	36.50	2.462	34
1 5 3	41.11	2.196	26
2 2 4	49.59	1.838	34

Atomic structure:
Cell lengths 4.386, 14.643, 15.190 Å; angles 90.00, 90.00, 90.00 degrees
Space group Cmcm (No. 63)
Symmetry-distinct sites (fractional):
Ac 0.000 0.000 0.000 [4 per cell]
Ac 0.000 0.265 0.125 [8 per cell]
Ac 0.000 0.425 0.750 [4 per cell]
Sb 0.000 0.106 0.750 [4 per cell]
S 0.000 0.368 0.556 [8 per cell]
N 0.000 0.164 0.250 [4 per cell]

Diffraction record for Ac4SeS2N. The powder XRD pattern is theoretical, not measured: it uses a PBE-relaxed structure and a wavelength of 1.5418 Å.
Neutral-atom scattering factors, no anomalous dispersion.

Top 8 peaks for 10° ≤ 2θ ≤ 90°, in order of rising 2θ:
(hkl)	2θ (°)	d_spacing	intensity
0 2 2	25.34	3.514	44
2 0 2	25.80	3.454	45
2 2 0	29.61	3.017	100
2 2 4	42.36	2.134	47
4 0 0	42.97	2.105	13
4 2 2	50.54	1.806	14
4 0 4	53.03	1.727	13
4 4 4	69.68	1.349	17

Atomic structure:
Cell lengths 8.420, 8.643, 12.076 Å; angles 90.00, 90.00, 90.00 degrees
Space group Imma (No. 74)
Symmetry-distinct sites (fractional):
Ac 0.000 0.030 0.246 [8 per cell]
Ac 0.242 0.250 0.018 [8 per cell]
Se 0.000 0.000 0.500 [4 per cell]
S 0.000 0.000 0.000 [4 per cell]
S 0.250 0.250 0.750 [4 per cell]
N 0.250 0.250 0.250 [4 per cell]

Diffraction record for SrAcSN. The powder XRD pattern is theoretical, not measured: it uses a PBE-relaxed structure and a wavelength of 1.5418 Å.
Neutral-atom scattering factors, no anomalous dispersion.

Top 8 peaks for 10° ≤ 2θ ≤ 90°, in order of rising 2θ:
(hkl)	2θ (°)	d_spacing	intensity
0 0 3	12.92	6.852	38
1 0 1	25.78	3.455	25
0 0 6	26.01	3.426	26
0 1 2	26.87	3.318	80
1 0 4	30.88	2.896	100
0 1 8	43.68	2.072	30
1 1 0	44.78	2.024	38
1 1 6	52.52	1.742	25

Atomic structure:
Cell lengths 4.0476, 4.0476, 20.5546 Å; angles 90.00, 90.00, 120.00 degrees
Space group R3m (No. 160, hexagonal axes)
Symmetry-distinct sites (fractional):
Sr 0.0000 0.0000 0.0000 [3 per cell]
Ac 0.0000 0.0000 0.4772 [3 per cell]
S 0.0000 0.0000 0.2452 [3 per cell]
N 0.0000 0.0000 0.7527 [3 per cell]